[1]
The following is a calculated powder X-ray diffraction pattern of UFe10B3. It was derived from a structure optimized by DFT (GGA-PBE), using a wavelength of 1.5418 Å.
Peak positions follow from Bragg's law for the DFT cell and can differ from measured ones.

Most intense lines, 2θ from 10° to 90°, sorted by position:
| 2θ/deg | d/Å | I/Imax | hkl |
| --- | --- | --- | --- |
| 16.60 | 5.340 | 65.6 | 2 0 0 |
| 23.56 | 3.776 | 25.5 | 2 2 0 |
| 37.67 | 2.388 | 100.0 | 4 2 0 |
| 41.42 | 2.180 | 67.7 | 4 2 2 |
| 44.06 | 2.055 | 54.2 | 3 3 3 |
| 48.20 | 1.888 | 34.3 | 4 4 0 |
| 50.56 | 1.805 | 24.2 | 5 3 1 |
| 57.22 | 1.610 | 30.5 | 6 2 2 |
| 73.06 | 1.295 | 29.2 | 6 4 4 |
| 75.54 | 1.259 | 31.1 | 6 6 0 |

```
data_UFe10B3
_chemical_formula_sum 'U8 Fe80 B24'
_symmetry_space_group_name_H-M 'F m -3 m'
_symmetry_Int_Tables_number 225
_symmetry_space_group_name_Hall '-F 4 2 3'
_cell_length_a 10.680
_cell_length_b 10.680
_cell_length_c 10.680
_cell_angle_alpha 90.00
_cell_angle_beta 90.00
_cell_angle_gamma 90.00
loop_
_atom_site_label
_atom_site_type_symbol
_atom_site_fract_x
_atom_site_fract_y
_atom_site_fract_z
_atom_site_occupancy
U1 U 0.250 0.250 0.250 1
Fe1 Fe 0.000 0.166 0.166 1
Fe2 Fe 0.119 0.119 0.381 1
B1 B 0.000 0.000 0.275 1
```


[2]
The following is a calculated powder X-ray diffraction pattern of Nd5Ga2Ru. It was derived from a structure optimized by DFT (GGA-PBE), using a wavelength of 1.5418 Å.
Peak positions follow from Bragg's law for the DFT cell and can differ from measured ones.

Most intense lines, 2θ from 10° to 90°, sorted by position:
| 2θ/deg | d/Å | I/Imax | hkl |
| --- | --- | --- | --- |
| 26.59 | 3.352 | 53.9 | 1 2 1 |
| 30.60 | 2.922 | 100.0 | 2 1 1 |
| 31.36 | 2.852 | 45.0 | 1 3 1 |
| 31.61 | 2.830 | 56.3 | 1 4 0 |
| 31.74 | 2.819 | 33.3 | 2 3 0 |
| 33.22 | 2.697 | 86.7 | 2 2 1 |
| 35.25 | 2.546 | 47.8 | 0 4 1 |
| 38.46 | 2.340 | 60.0 | 0 0 2 |
| 50.58 | 1.805 | 40.9 | 1 4 2 |
| 50.73 | 1.800 | 33.7 | 2 6 0 |

```
data_Nd5Ga2Ru
_chemical_formula_sum 'Nd10 Ga4 Ru2'
_symmetry_space_group_name_H-M 'P b a m'
_symmetry_Int_Tables_number 55
_cell_length_a 7.862
_cell_length_b 12.135
_cell_length_c 4.681
_cell_angle_alpha 90.00
_cell_angle_beta 90.00
_cell_angle_gamma 90.00
loop_
_symmetry_equiv_pos_as_xyz
'x,y,z'
'-x,-y,-z'
'-x,-y,z'
'x,y,-z'
'x+1/2,-y+1/2,-z'
'-x+1/2,y+1/2,z'
'-x+1/2,y+1/2,-z'
'x+1/2,-y+1/2,z'
loop_
_atom_site_label
_atom_site_type_symbol
_atom_site_fract_x
_atom_site_fract_y
_atom_site_fract_z
_atom_site_occupancy
Nd1 Nd 0.000 0.000 0.000 1
Nd2 Nd 0.147 0.294 0.000 1
Nd3 Nd 0.186 0.576 0.500 1
Ga1 Ga 0.069 0.833 0.500 1
Ru1 Ru 0.000 0.500 0.000 1
```